# Cu2NiTeO6
Computed powder diffractogram, Cu Kα. Input: DFT lattice parameters and positions (GGA+U).

Most intense lines, 10 to 80 degrees two-theta, low angle first:
d (Å)  I_rel
4.840  12
2.788  100
2.425  9
2.403  9
1.711  13
1.707  13
1.704  12
1.461  10
1.456  9
1.451  9

Structure:
Unit cell a=8.364 b=8.364 c=8.364 alpha=109.86 beta=109.44 gamma=109.11
Element x y z (fractional)
Cu 0.029 0.750 0.779
Cu 0.223 0.473 0.750
Cu 0.250 0.279 0.029
Cu 0.277 0.027 0.250
Cu 0.471 0.250 0.721
Cu 0.719 0.969 0.750
Cu 0.750 0.221 0.471
Cu 0.781 0.531 0.250
Ni 0.250 0.790 0.540
Ni 0.542 0.750 0.292
Ni 0.750 0.710 0.960
Ni 0.958 0.250 0.208
Te 0.001 0.497 0.999
Te 0.499 0.498 0.496
Te 0.503 0.003 0.004
Te 0.997 0.002 0.501
O 0.025 0.808 0.573
O 0.038 0.557 0.265
O 0.057 0.767 0.044
O 0.204 0.232 0.767
O 0.224 0.013 0.456
O 0.235 0.305 0.278
O 0.265 0.543 0.070
O 0.276 0.733 0.790
O 0.296 0.063 0.028
O 0.443 0.487 0.710
O 0.462 0.727 0.519
O 0.475 0.047 0.783
O 0.528 0.957 0.222
O 0.535 0.268 0.472
O 0.567 0.518 0.299
O 0.708 0.943 0.981
O 0.719 0.268 0.201
O 0.736 0.453 0.927
O 0.764 0.692 0.717
O 0.781 0.982 0.549
O 0.792 0.773 0.235
O 0.933 0.232 0.951
O 0.965 0.437 0.733
O 0.972 0.195 0.430